The following is a calculated powder X-ray diffraction pattern of Al2CdSe2S2. It was derived from DFT lattice parameters and positions (GGA-PBE), using Cu Kα, 1.54184 Å.
Intensities are scaled so that the largest is 100.

Largest 6 diffraction maxima, by intensity, 2θ = 5–70°:
hkl, 2θ/deg, d [Å], Rel. int.
-1 1 1, 27.7, 3.220, 100.0
1 1 0, 27.5, 3.240, 90.7
1 1 -2, 28.1, 3.179, 90.1
2 -2 0, 44.7, 2.027, 88.1
1 0 0, 17.5, 5.057, 83.6
1 -1 1, 27.9, 3.203, 81.1

Structural model:
abc: 5.730 5.738 6.575
angles: 114.94 115.30 90.06
Space group P1 (No. 1)
Symmetry-distinct sites (fractional):
Al: 0.000 0.000 0.000 (multiplicity 1)
Al: 0.237 0.762 0.500 (multiplicity 1)
Cd: 0.499 0.518 0.999 (multiplicity 1)
Se: 0.372 0.375 0.282 (multiplicity 1)
Se: 0.631 0.103 0.718 (multiplicity 1)
S: 0.099 0.656 0.734 (multiplicity 1)
S: 0.907 0.904 0.265 (multiplicity 1)

=====

The following is a calculated powder X-ray diffraction pattern of Al2Cd2Si3. It was derived from DFT lattice parameters and positions (GGA-PBE), using Cu Kα, 1.54184 Å.
Intensities are scaled so that the largest is 100.

Largest 6 diffraction maxima, by intensity, 2θ = 5–70°:
hkl, 2θ/deg, d [Å], Rel. int.
1 1 0, 39.2, 2.301, 100.0
0 1 2, 23.8, 3.745, 83.9
0 1 8, 39.9, 2.259, 71.0
1 0 4, 27.7, 3.224, 65.9
2 0 8, 57.1, 1.612, 23.8
1 0 7, 36.5, 2.463, 21.9

Structural model:
abc: 4.6011 4.6011 21.9391
angles: 90.00 90.00 120.00
Space group R3m (No. 160, hexagonal axes)
Symmetry-distinct sites (fractional):
Al: 0.0000 0.0000 0.0000 (multiplicity 3)
Al: 0.0000 0.0000 0.4977 (multiplicity 3)
Cd: 0.0000 0.0000 0.2329 (multiplicity 3)
Cd: 0.0000 0.0000 0.7578 (multiplicity 3)
Si: 0.0000 0.0000 0.3707 (multiplicity 3)
Si: 0.0000 0.0000 0.6317 (multiplicity 3)
Si: 0.0000 0.0000 0.8784 (multiplicity 3)

=====

The following is a calculated powder X-ray diffraction pattern of Al2Cd2Sn3. It was derived from DFT lattice parameters and positions (GGA-PBE), using Cu Kα, 1.54184 Å.
Intensities are scaled so that the largest is 100.

Largest 6 diffraction maxima, by intensity, 2θ = 5–70°:
hkl, 2θ/deg, d [Å], Rel. int.
1 1 0, 35.6, 2.523, 100.0
0 1 8, 36.0, 2.497, 85.5
0 1 2, 21.6, 4.113, 35.2
1 2 8, 64.1, 1.452, 31.8
2 0 8, 51.5, 1.775, 30.6
3 0 0, 63.9, 1.457, 18.2

Structural model:
abc: 5.0470 5.0470 24.3367
angles: 90.00 90.00 120.00
Space group R3m (No. 160, hexagonal axes)
Symmetry-distinct sites (fractional):
Al: 0.0000 0.0000 0.0000 (multiplicity 3)
Al: 0.0000 0.0000 0.4947 (multiplicity 3)
Cd: 0.0000 0.0000 0.2318 (multiplicity 3)
Cd: 0.0000 0.0000 0.7537 (multiplicity 3)
Sn: 0.0000 0.0000 0.3728 (multiplicity 3)
Sn: 0.0000 0.0000 0.6246 (multiplicity 3)
Sn: 0.0000 0.0000 0.8729 (multiplicity 3)

=====

The following is a calculated powder X-ray diffraction pattern of AlCoCl6. It was derived from DFT lattice parameters and positions (GGA-PBE), using Cu Kα, 1.54184 Å.
Intensities are scaled so that the largest is 100.

Largest 6 diffraction maxima, by intensity, 2θ = 5–70°:
hkl, 2θ/deg, d [Å], Rel. int.
0 0 1, 14.8, 5.981, 100.0
1 3 1, 36.6, 2.453, 89.1
2 0 -2, 36.5, 2.461, 44.8
2 0 2, 51.3, 1.782, 38.8
0 6 0, 54.1, 1.694, 36.9
1 1 0, 18.1, 4.889, 35.2

Structural model:
abc: 5.875 10.155 6.299
angles: 90.00 108.28 90.00
Space group C2 (No. 5)
Symmetry-distinct sites (fractional):
Al: 0.000 0.000 0.000 (multiplicity 2)
Co: 0.000 0.667 0.000 (multiplicity 2)
Cl: 0.213 0.829 0.218 (multiplicity 4)
Cl: 0.241 0.656 0.783 (multiplicity 4)
Cl: 0.246 0.515 0.217 (multiplicity 4)